Simulated XRD peak list
Compound: PmB2Ru3
Radiation: a wavelength of 1.5418 Å
Structure: the GGA-PBE geometry in Alexandria
Intensities are scaled so that the largest is 1000.

Top 8 peaks for 2θ from 10° to 90°, by angle:
2θ 34.84, d = 2.575 Å, rel. 707
2θ 37.39, d = 2.405 Å, rel. 1000
2θ 44.11, d = 2.053 Å, rel. 436
2θ 48.19, d = 1.888 Å, rel. 135
2θ 59.14, d = 1.562 Å, rel. 205
2θ 59.23, d = 1.560 Å, rel. 102
2θ 67.39, d = 1.390 Å, rel. 126
2θ 73.56, d = 1.288 Å, rel. 269

abc: 6.339 6.339 6.339
angles: 122.51 81.10 128.11
Fractional coordinates of all 12 atoms:
Pm 0.499 0.249 0.250
Pm 0.501 0.751 0.750
B 0.166 0.250 0.916
B 0.167 0.750 0.416
B 0.833 0.250 0.584
B 0.834 0.750 0.084
Ru 0.000 0.000 0.500
Ru 0.000 0.250 0.250
Ru 0.000 0.500 0.000
Ru 0.000 0.750 0.750
Ru 0.500 0.250 0.750
Ru 0.500 0.750 0.250


Simulated XRD peak list
Compound: La3PmDy8
Radiation: a wavelength of 1.5418 Å
Structure: the GGA-PBE geometry in Alexandria
Intensities are scaled so that the largest is 1000.

Top 8 peaks for 2θ from 10° to 90°, by angle:
2θ 23.89, d = 3.724 Å, rel. 755
2θ 25.61, d = 3.479 Å, rel. 652
2θ 28.63, d = 3.118 Å, rel. 858
2θ 31.60, d = 2.832 Å, rel. 781
2θ 32.82, d = 2.729 Å, rel. 691
2θ 35.90, d = 2.502 Å, rel. 1000
2θ 43.16, d = 2.096 Å, rel. 565
2θ 44.09, d = 2.054 Å, rel. 780

abc: 8.423 8.423 8.423
angles: 116.88 116.88 95.50
Fractional coordinates of all 12 atoms:
La 0.000 0.000 0.000
La 0.250 0.750 0.500
La 0.750 0.250 0.500
Pm 0.500 0.500 0.000
Dy 0.128 0.128 0.753
Dy 0.249 0.747 0.000
Dy 0.253 0.253 0.501
Dy 0.375 0.375 0.247
Dy 0.625 0.872 0.000
Dy 0.747 0.249 0.000
Dy 0.751 0.751 0.499
Dy 0.872 0.625 0.000


Simulated XRD peak list
Compound: Si3Pb2Au9
Radiation: a wavelength of 1.5418 Å
Structure: the GGA-PBE geometry in Alexandria
Intensities are scaled so that the largest is 1000.

Top 8 peaks for 2θ from 10° to 90°, by angle:
2θ 33.29, d = 2.691 Å, rel. 365
2θ 34.43, d = 2.605 Å, rel. 325
2θ 34.83, d = 2.575 Å, rel. 343
2θ 34.99, d = 2.564 Å, rel. 819
2θ 35.49, d = 2.530 Å, rel. 668
2θ 35.86, d = 2.504 Å, rel. 1000
2θ 38.85, d = 2.318 Å, rel. 512
2θ 39.00, d = 2.309 Å, rel. 899

abc: 8.023 8.023 10.968
angles: 112.86 112.86 59.72
Fractional coordinates of all 28 atoms:
Si 0.000 0.500 0.000
Si 0.161 0.665 0.504
Si 0.335 0.839 0.996
Si 0.500 0.000 0.500
Si 0.665 0.161 0.004
Si 0.839 0.335 0.496
Pb 0.080 0.269 0.241
Pb 0.269 0.080 0.741
Pb 0.731 0.920 0.259
Pb 0.920 0.731 0.759
Au 0.010 0.107 0.912
Au 0.107 0.010 0.412
Au 0.189 0.596 0.262
Au 0.194 0.358 0.566
Au 0.298 0.514 0.966
Au 0.358 0.194 0.066
Au 0.368 0.632 0.750
Au 0.404 0.811 0.238
Au 0.486 0.702 0.534
Au 0.514 0.298 0.466
Au 0.596 0.189 0.762
Au 0.632 0.368 0.250
Au 0.642 0.806 0.934
Au 0.702 0.486 0.034
Au 0.806 0.642 0.434
Au 0.811 0.404 0.738
Au 0.893 0.990 0.588
Au 0.990 0.893 0.088


Simulated XRD peak list
Compound: Rb4Au6S5
Radiation: a wavelength of 1.5418 Å
Structure: the GGA-PBE geometry in Alexandria
Intensities are scaled so that the largest is 1000.

Top 8 peaks for 2θ from 10° to 90°, by angle:
2θ 10.05, d = 8.798 Å, rel. 597
2θ 13.25, d = 6.682 Å, rel. 880
2θ 24.65, d = 3.611 Å, rel. 420
2θ 26.81, d = 3.325 Å, rel. 859
2θ 27.97, d = 3.190 Å, rel. 912
2θ 28.21, d = 3.164 Å, rel. 1000
2θ 32.07, d = 2.791 Å, rel. 414
2θ 37.71, d = 2.385 Å, rel. 624

abc: 10.160 10.160 10.270
angles: 90.00 90.00 120.00
Fractional coordinates of all 30 atoms:
Rb 0.000 0.000 0.000
Rb 0.000 0.000 0.500
Rb 0.076 0.421 0.250
Rb 0.344 0.924 0.250
Rb 0.421 0.076 0.750
Rb 0.579 0.656 0.250
Rb 0.656 0.579 0.750
Rb 0.924 0.344 0.750
Au 0.173 0.718 0.594
Au 0.173 0.718 0.906
Au 0.282 0.455 0.594
Au 0.282 0.455 0.906
Au 0.455 0.282 0.094
Au 0.455 0.282 0.406
Au 0.545 0.827 0.594
Au 0.545 0.827 0.906
Au 0.718 0.173 0.094
Au 0.718 0.173 0.406
Au 0.827 0.545 0.094
Au 0.827 0.545 0.406
S 0.040 0.772 0.750
S 0.228 0.268 0.750
S 0.268 0.228 0.250
S 0.333 0.667 0.036
S 0.333 0.667 0.464
S 0.667 0.333 0.536
S 0.667 0.333 0.964
S 0.732 0.960 0.750
S 0.772 0.040 0.250
S 0.960 0.732 0.250


Simulated XRD peak list
Compound: AcSm6Dy3Er2
Radiation: a wavelength of 1.5418 Å
Structure: the GGA-PBE geometry in Alexandria
Intensities are scaled so that the largest is 1000.

Top 8 peaks for 2θ from 10° to 90°, by angle:
2θ 30.28, d = 2.952 Å, rel. 1000
2θ 35.10, d = 2.557 Å, rel. 507
2θ 50.48, d = 1.808 Å, rel. 363
2θ 60.01, d = 1.542 Å, rel. 432
2θ 62.97, d = 1.476 Å, rel. 125
2θ 82.14, d = 1.173 Å, rel. 75
2θ 82.19, d = 1.173 Å, rel. 103
2θ 84.79, d = 1.143 Å, rel. 165

abc: 6.263 6.263 11.986
angles: 95.00 95.00 119.98
Fractional coordinates of all 12 atoms:
Ac 0.000 0.000 0.000
Sm 0.085 0.422 0.254
Sm 0.251 0.251 0.746
Sm 0.422 0.085 0.254
Sm 0.578 0.915 0.746
Sm 0.749 0.749 0.254
Sm 0.915 0.578 0.746
Dy 0.167 0.833 0.500
Dy 0.500 0.500 0.500
Dy 0.833 0.167 0.500
Er 0.333 0.667 0.000
Er 0.667 0.333 0.000


Simulated XRD peak list
Compound: CeEr4Tm
Radiation: a wavelength of 1.5418 Å
Structure: the GGA-PBE geometry in Alexandria
Intensities are scaled so that the largest is 1000.

Top 8 peaks for 2θ from 10° to 90°, by angle:
2θ 29.45, d = 3.033 Å, rel. 349
2θ 30.09, d = 2.970 Å, rel. 182
2θ 31.76, d = 2.817 Å, rel. 503
2θ 32.53, d = 2.752 Å, rel. 1000
2θ 34.27, d = 2.617 Å, rel. 872
2θ 51.83, d = 1.764 Å, rel. 384
2θ 55.93, d = 1.644 Å, rel. 216
2θ 62.08, d = 1.495 Å, rel. 447

abc: 17.024 3.530 6.107
angles: 90.00 96.79 90.00
Fractional coordinates of all 12 atoms:
Ce 0.000 0.000 0.000
Ce 0.500 0.500 0.000
Er 0.166 0.500 0.891
Er 0.167 0.000 0.387
Er 0.333 0.500 0.613
Er 0.334 0.000 0.109
Er 0.666 0.000 0.891
Er 0.667 0.500 0.387
Er 0.833 0.000 0.613
Er 0.834 0.500 0.109
Tm 0.000 0.500 0.500
Tm 0.500 0.000 0.500